K3LiIrO4: calculated X-ray diffraction stick pattern (Cu Kα X-rays), based on the GGA-PBE geometry in Alexandria.
Peak positions follow from Bragg's law for the DFT cell and can differ from measured ones.

Crystal structure
```
K3LiIrO4
1.0
5.415 -4.913 0.000
5.415 4.913 0.000
-1.459 0.000 5.813
K Li Ir O
6 2 2 8
Cartesian
4.321 3.977 4.360
2.969 0.871 3.069
3.699 -0.871 0.163
5.672 0.871 5.650
6.402 -0.871 2.744
5.050 -3.977 1.453
5.050 2.628 1.453
4.321 -2.628 4.360
2.708 2.456 0.000
1.978 -2.456 2.907
0.623 1.369 4.332
3.037 1.733 5.635
1.352 -1.369 1.425
5.604 1.733 3.085
3.767 -1.733 2.729
8.019 1.369 4.388
6.334 -1.733 0.178
8.749 -1.369 1.481
```

Peak list (8 most intense, 2θ from 15° to 90°, in order of rising 2θ)
- 2θ = 16.88°, intensity 434
- 2θ = 18.00°, intensity 1000
- 2θ = 21.21°, intensity 586
- 2θ = 24.82°, intensity 389
- 2θ = 27.87°, intensity 384
- 2θ = 31.35°, intensity 272
- 2θ = 31.49°, intensity 613
- 2θ = 33.51°, intensity 266